Calculated powder diffractogram
Compound: Ga8BIr4
Radiation: copper Kα
Structure: a structure optimized by DFT (GGA-PBE)

Largest 10 diffraction maxima, sorted by position, 15° ≤ 2θ ≤ 90°:
two_theta	d (Å)	I/Imax
26.61	3.350	100
31.30	2.858	27
37.67	2.388	27
41.78	2.162	67
43.47	2.082	46
45.15	2.008	43
45.23	2.005	38
45.41	1.997	44
47.12	1.929	27
71.21	1.324	20

Structural model:
```
Ga8BIr4
1.0
-4.312 4.312 10.642
4.312 -4.312 10.642
4.312 4.312 -10.642
Ga B Ir
32 4 16
direct
0.006 0.975 0.599
0.025 0.124 0.031
0.093 0.624 0.599
0.124 0.593 0.099
0.126 0.152 0.403
0.152 0.250 0.026
0.224 0.750 0.597
0.250 0.348 0.474
0.250 0.724 0.097
0.276 0.874 0.526
0.348 0.374 0.097
0.374 0.776 0.026
0.376 0.475 0.469
0.407 0.006 0.531
0.475 0.506 0.099
0.494 0.093 0.969
0.506 0.907 0.031
0.525 0.494 0.901
0.593 0.994 0.469
0.624 0.525 0.531
0.626 0.224 0.974
0.652 0.626 0.903
0.724 0.126 0.474
0.750 0.276 0.903
0.750 0.652 0.526
0.776 0.250 0.403
0.848 0.750 0.974
0.874 0.848 0.597
0.876 0.407 0.901
0.907 0.376 0.401
0.975 0.876 0.969
0.994 0.025 0.401
0.125 0.375 0.750
0.375 0.125 0.250
0.625 0.875 0.750
0.875 0.625 0.250
0.023 0.273 0.750
0.051 0.449 0.250
0.199 0.949 0.899
0.227 0.477 0.750
0.273 0.023 0.250
0.301 0.199 0.750
0.449 0.699 0.399
0.477 0.227 0.250
0.523 0.773 0.750
0.551 0.301 0.601
0.699 0.801 0.250
0.727 0.977 0.750
0.773 0.523 0.250
0.801 0.051 0.101
0.949 0.551 0.750
0.977 0.727 0.250
```



Calculated powder diffractogram
Compound: Mg7Si4
Radiation: copper Kα
Structure: a structure optimized by DFT (GGA-PBE)

Largest 10 diffraction maxima, sorted by position, 15° ≤ 2θ ≤ 90°:
two_theta	d (Å)	I/Imax
34.64	2.590	51
35.60	2.522	45
35.82	2.507	48
36.88	2.437	36
37.49	2.399	43
38.32	2.349	28
39.06	2.306	46
39.37	2.289	58
39.55	2.278	100
40.76	2.214	35

Structural model:
```
Mg7Si4
1.0
5.112 0.000 0.000
-0.025 5.946 0.000
-2.327 -0.970 14.098
Mg Si
14 8
direct
0.000 0.000 0.000
0.001 0.501 0.022
0.069 0.946 0.687
0.358 0.533 0.349
0.372 0.030 0.350
0.422 0.477 0.751
0.445 0.295 0.553
0.471 0.743 0.941
0.473 0.238 0.936
0.511 0.801 0.573
0.552 0.524 0.148
0.595 0.024 0.148
0.916 0.078 0.476
0.962 0.583 0.491
0.102 0.808 0.182
0.110 0.239 0.184
0.611 0.962 0.773
0.836 0.331 0.311
0.845 0.765 0.313
0.903 0.430 0.667
0.939 0.677 0.835
0.948 0.262 0.834
```



Calculated powder diffractogram
Compound: Sr2Mg
Radiation: copper Kα
Structure: a structure optimized by DFT (GGA-PBE)

Largest 10 diffraction maxima, sorted by position, 15° ≤ 2θ ≤ 90°:
two_theta	d (Å)	I/Imax
21.68	4.100	36
22.86	3.890	32
24.00	3.708	36
27.62	3.230	100
28.57	3.124	92
30.51	2.930	92
39.19	2.299	39
48.16	1.889	24
51.91	1.762	34
53.60	1.710	31

Structural model:
```
Sr2Mg
1.0
-2.015 2.133 7.417
2.015 -2.133 7.417
2.015 2.133 -7.417
Sr Mg
2 1
direct
0.143 0.143 0.000
0.857 0.857 0.000
0.500 0.500 0.000
```



Calculated powder diffractogram
Compound: SmTa3
Radiation: copper Kα
Structure: a structure optimized by DFT (GGA-PBE)

Largest 5 diffraction maxima, sorted by position, 15° ≤ 2θ ≤ 90°:
two_theta	d (Å)	I/Imax
36.78	2.444	100
52.99	1.728	18
66.24	1.411	36
78.23	1.222	11
89.72	1.093	17

Structural model:
```
SmTa3
1.0
0.000 3.456 3.456
3.456 0.000 3.456
3.456 3.456 0.000
Sm Ta
1 3
direct
0.000 0.000 0.000
0.250 0.250 0.250
0.500 0.500 0.500
0.750 0.750 0.750
```



Calculated powder diffractogram
Compound: KRb2AlF6
Radiation: copper Kα
Structure: a structure optimized by DFT (GGA-PBE)

Largest 10 diffraction maxima, sorted by position, 15° ≤ 2θ ≤ 90°:
two_theta	d (Å)	I/Imax
20.11	4.416	8
28.59	3.122	100
35.20	2.549	37
40.87	2.208	47
45.96	1.975	8
50.64	1.803	33
59.18	1.561	25
67.02	1.396	22
70.76	1.331	9
81.57	1.180	22

Structural model:
```
KRb2AlF6
1.0
0.000 4.416 4.416
4.416 0.000 4.416
4.416 4.416 0.000
K Rb Al F
1 2 1 6
direct
0.000 0.000 0.000
0.250 0.250 0.250
0.750 0.750 0.750
0.500 0.500 0.500
0.291 0.291 0.709
0.291 0.709 0.291
0.291 0.709 0.709
0.709 0.291 0.291
0.709 0.291 0.709
0.709 0.709 0.291
```



Calculated powder diffractogram
Compound: Ba4CaRh4O12
Radiation: copper Kα
Structure: a structure optimized by DFT (GGA-PBE)

Largest 10 diffraction maxima, sorted by position, 15° ≤ 2θ ≤ 90°:
two_theta	d (Å)	I/Imax
24.45	3.640	21
30.72	2.911	100
31.06	2.879	72
39.65	2.273	17
44.25	2.047	37
54.61	1.680	19
54.83	1.674	31
63.97	1.455	18
72.82	1.299	13
88.97	1.100	11

Structural model:
```
Ba4CaRh4O12
1.0
5.821 0.000 0.000
-2.911 5.041 0.000
0.000 0.000 10.522
Ba Ca Rh O
4 1 4 12
direct
0.000 0.000 0.000
0.000 0.000 0.386
0.333 0.667 0.181
0.667 0.333 0.630
0.000 0.000 0.729
0.333 0.667 0.506
0.333 0.667 0.782
0.667 0.333 0.010
0.667 0.333 0.283
0.006 0.503 0.390
0.184 0.368 0.631
0.184 0.816 0.631
0.371 0.185 0.154
0.497 0.503 0.390
0.497 0.994 0.390
0.512 0.025 0.868
0.512 0.488 0.868
0.632 0.816 0.631
0.815 0.185 0.154
0.815 0.629 0.154
0.975 0.488 0.868
```



Calculated powder diffractogram
Compound: Cr5B2P
Radiation: copper Kα
Structure: a structure optimized by DFT (GGA-PBE)

Largest 10 diffraction maxima, sorted by position, 15° ≤ 2θ ≤ 90°:
two_theta	d (Å)	I/Imax
34.80	2.578	13
37.28	2.412	70
41.94	2.154	44
45.07	2.012	100
46.29	1.961	21
48.19	1.888	67
52.14	1.754	54
74.98	1.267	19
75.95	1.253	16
82.77	1.166	25

Structural model:
```
Cr5B2P
1.0
-2.774 2.774 5.156
2.774 -2.774 5.156
2.774 2.774 -5.156
Cr B P
10 4 2
direct
0.000 0.000 0.000
0.030 0.530 0.837
0.192 0.030 0.500
0.308 0.808 0.837
0.470 0.308 0.500
0.500 0.500 0.000
0.530 0.692 0.500
0.692 0.192 0.163
0.808 0.970 0.500
0.970 0.470 0.163
0.118 0.382 0.500
0.382 0.882 0.264
0.618 0.118 0.736
0.882 0.618 0.500
0.250 0.250 0.000
0.750 0.750 0.000
```



Calculated powder diffractogram
Compound: Na4Al3Si3IO12
Radiation: copper Kα
Structure: a structure optimized by DFT (GGA-PBE)

Largest 10 diffraction maxima, sorted by position, 15° ≤ 2θ ≤ 90°:
two_theta	d (Å)	I/Imax
19.49	4.555	12
23.93	3.719	100
36.92	2.435	32
42.08	2.147	31
55.23	1.663	10
57.21	1.610	8
61.03	1.518	10
62.89	1.478	17
70.06	1.343	9
76.91	1.240	13

Structural model:
```
Na4Al3Si3IO12
1.0
9.109 0.000 0.000
0.000 9.109 0.000
0.000 0.000 9.109
Na Al Si I O
8 6 6 2 24
direct
0.199 0.199 0.199
0.199 0.801 0.801
0.301 0.301 0.699
0.301 0.699 0.301
0.699 0.301 0.301
0.699 0.699 0.699
0.801 0.199 0.801
0.801 0.801 0.199
0.000 0.250 0.500
0.000 0.750 0.500
0.250 0.500 0.000
0.500 0.000 0.250
0.500 0.000 0.750
0.750 0.500 0.000
0.000 0.500 0.250
0.000 0.500 0.750
0.250 0.000 0.500
0.500 0.250 0.000
0.500 0.750 0.000
0.750 0.000 0.500
0.000 0.000 0.000
0.500 0.500 0.500
0.050 0.358 0.652
0.050 0.642 0.348
0.142 0.450 0.152
0.142 0.550 0.848
0.152 0.142 0.450
0.152 0.858 0.550
0.348 0.050 0.642
0.348 0.950 0.358
0.358 0.348 0.950
0.358 0.652 0.050
0.450 0.152 0.142
0.450 0.848 0.858
0.550 0.152 0.858
0.550 0.848 0.142
0.642 0.348 0.050
0.642 0.652 0.950
0.652 0.050 0.358
0.652 0.950 0.642
0.848 0.142 0.550
0.848 0.858 0.450
0.858 0.450 0.848
0.858 0.550 0.152
0.950 0.358 0.348
0.950 0.642 0.652
```



Calculated powder diffractogram
Compound: CaSn4S9
Radiation: copper Kα
Structure: a structure optimized by DFT (GGA-PBE)

Largest 10 diffraction maxima, sorted by position, 15° ≤ 2θ ≤ 90°:
two_theta	d (Å)	I/Imax
19.84	4.475	100
25.30	3.520	38
25.91	3.438	40
26.20	3.402	84
32.85	2.726	65
35.02	2.563	75
38.98	2.311	39
39.49	2.282	62
42.96	2.105	44
49.04	1.857	34

Structural model:
```
CaSn4S9
1.0
8.291 0.000 0.000
0.000 6.876 0.000
-2.284 0.000 12.097
Ca Sn S
2 8 18
direct
0.000 0.222 0.250
0.000 0.778 0.750
0.307 0.300 0.662
0.307 0.700 0.162
0.426 0.222 0.061
0.426 0.778 0.561
0.574 0.222 0.439
0.574 0.778 0.939
0.693 0.300 0.838
0.693 0.700 0.338
0.021 0.154 0.670
0.021 0.846 0.170
0.164 0.387 0.095
0.164 0.613 0.595
0.277 0.105 0.480
0.277 0.895 0.980
0.396 0.434 0.865
0.396 0.566 0.365
0.500 0.024 0.250
0.500 0.976 0.750
0.604 0.434 0.635
0.604 0.566 0.135
0.723 0.105 0.020
0.723 0.895 0.520
0.836 0.387 0.405
0.836 0.613 0.905
0.979 0.154 0.830
0.979 0.846 0.330
```